# Fe3AgF9
Computed X-ray powder pattern, Cu Kα X-rays. Input: a structure optimized by DFT (GGA+U).
Neutral-atom scattering factors, no anomalous dispersion.

Cell and atoms:
```
Fe3AgF9
1.0
5.6187 0.0000 0.0000
0.0000 7.7030 0.0000
-0.4501 0.0000 8.2947
Fe Ag F
6 2 18
direct
0.0000 0.0000 0.0000
0.0000 0.5000 0.0000
0.4699 0.0018 0.6926
0.4699 0.4982 0.6926
0.5301 0.5018 0.3074
0.5301 0.9982 0.3074
0.0344 0.2500 0.4414
0.9656 0.7500 0.5586
0.0799 0.2500 0.9854
0.1608 0.5479 0.8006
0.1608 0.9521 0.8006
0.2740 0.5356 0.4779
0.2740 0.9644 0.4779
0.2988 0.5429 0.1242
0.2988 0.9571 0.1242
0.3793 0.2500 0.6775
0.4443 0.2500 0.3028
0.5557 0.7500 0.6972
0.6207 0.7500 0.3225
0.7012 0.0429 0.8758
0.7012 0.4571 0.8758
0.7260 0.0356 0.5221
0.7260 0.4644 0.5221
0.8392 0.0479 0.1994
0.8392 0.4521 0.1994
0.9201 0.7500 0.0146
```

Top 10 peaks for 15° ≤ 2θ ≤ 90°, by intensity:
- 2θ 26.02, d 3.425, I = 100, hkl 1 0 -2
- 2θ 30.45, d 2.936, I = 78, hkl 1 2 1
- 2θ 27.43, d 3.252, I = 73, hkl 1 0 2
- 2θ 29.82, d 2.996, I = 58, hkl 1 2 -1
- 2θ 28.10, d 3.175, I = 55, hkl 1 2 0
- 2θ 47.20, d 1.926, I = 45, hkl 0 4 0
- 2θ 25.50, d 3.493, I = 43, hkl 0 2 1
- 2θ 31.90, d 2.805, I = 39, hkl 2 0 0
- 2θ 53.36, d 1.717, I = 34, hkl 2 2 3
- 2θ 44.73, d 2.026, I = 28, hkl 2 0 -3